# 1
For SmHoAsP, a cell relaxed with GGA-PBE gives the simulated powder X-ray diffraction pattern in this record (Cu Ka).
No peak broadening, texture or thermal motion is included.

Largest 6 diffraction maxima, in order of rising 2θ, 2θ from 10° to 80°:
- hkl 1 0 1, 26.59°, d 3.352, I 45
- hkl 1 1 0, 30.80°, d 2.903, I 100
- hkl 2 0 0, 44.12°, d 2.053, I 74
- hkl 2 1 1, 52.22°, d 1.752, I 15
- hkl 2 0 2, 54.77°, d 1.676, I 26
- hkl 3 1 0, 72.80°, d 1.299, I 22

Structural model:
Cell lengths 4.1092, 4.1092, 5.7964 Å; angles 90.00, 90.00, 90.00 degrees
Space group P4/mmm (No. 123)
Symmetry-distinct sites (fractional):
Sm: 0.0000 0.0000 0.0000 x1
Ho: 0.5000 0.5000 0.5000 x1
As: 0.5000 0.5000 0.0000 x1
P: 0.0000 0.0000 0.5000 x1


# 2
For TbHoAsP, a cell relaxed with GGA-PBE gives the simulated powder X-ray diffraction pattern in this record (Cu Ka).
No peak broadening, texture or thermal motion is included.

Largest 6 diffraction maxima, in order of rising 2θ, 2θ from 10° to 80°:
- hkl 1 0 1, 26.86°, d 3.319, I 46
- hkl 1 1 0, 31.12°, d 2.874, I 100
- hkl 2 0 0, 44.59°, d 2.032, I 74
- hkl 2 1 1, 52.82°, d 1.733, I 23
- hkl 2 0 2, 55.37°, d 1.659, I 26
- hkl 3 1 0, 73.71°, d 1.285, I 33

Structural model:
Cell lengths 4.0658, 4.0658, 5.7445 Å; angles 90.00, 90.00, 90.00 degrees
Space group P4/mmm (No. 123)
Symmetry-distinct sites (fractional):
Tb: 0.0000 0.0000 0.0000 x1
Ho: 0.5000 0.5000 0.5000 x1
As: 0.5000 0.5000 0.0000 x1
P: 0.0000 0.0000 0.5000 x1


# 3
For HoPaAsSe, a cell relaxed with GGA-PBE gives the simulated powder X-ray diffraction pattern in this record (Cu Ka).
No peak broadening, texture or thermal motion is included.

Largest 6 diffraction maxima, in order of rising 2θ, 2θ from 10° to 80°:
- hkl 1 0 1, 26.43°, d 3.372, I 34
- hkl 0 1 2, 27.37°, d 3.258, I 40
- hkl 0 1 5, 33.30°, d 2.691, I 100
- hkl 1 0 7, 39.08°, d 2.305, I 45
- hkl 1 1 0, 46.06°, d 1.971, I 50
- hkl 1 1 12, 70.36°, d 1.338, I 25

Structural model:
Cell lengths 3.9410, 3.9410, 21.8729 Å; angles 90.00, 90.00, 120.00 degrees
Space group R3m (No. 160, hexagonal axes)
Symmetry-distinct sites (fractional):
Ho: 0.0000 0.0000 0.0000 x3
Pa: 0.0000 0.0000 0.8216 x3
As: 0.0000 0.0000 0.4094 x3
Se: 0.0000 0.0000 0.2443 x3


# 4
For SrHoPa2As4, a cell relaxed with GGA-PBE gives the simulated powder X-ray diffraction pattern in this record (Cu Ka).
No peak broadening, texture or thermal motion is included.

Largest 6 diffraction maxima, in order of rising 2θ, 2θ from 10° to 80°:
- hkl 1 1 2, 26.18°, d 3.404, I 43
- hkl 0 0 4, 30.22°, d 2.957, I 50
- hkl 2 0 0, 30.37°, d 2.943, I 100
- hkl 2 0 4, 43.38°, d 2.086, I 75
- hkl 2 2 0, 43.49°, d 2.081, I 38
- hkl 2 2 4, 53.87°, d 1.702, I 40

Structural model:
Cell lengths 5.8860, 5.8860, 11.8299 Å; angles 90.00, 90.00, 90.00 degrees
Space group I-4m2 (No. 119)
Symmetry-distinct sites (fractional):
Sr: 0.0000 0.0000 0.0000 x2
Ho: 0.0000 0.5000 0.7500 x2
Pa: 0.0000 0.0000 0.5000 x2
Pa: 0.0000 0.5000 0.2500 x2
As: 0.0000 0.0000 0.2586 x4
As: 0.0000 0.5000 0.0029 x4